(1)
Computed PXRD pattern of Ac3As2Pd9Pt for a wavelength of 1.5418 Å, from a PBE-relaxed structure.

Lattice parameters (Å, degrees): 5.8626 5.8626 11.3181 90.00 90.00 120.00
Space group P-3m1 (No. 164)
One atom of each set of equivalent atoms:
Ac 0.0000 0.0000 0.0000 (multiplicity 1)
Ac 0.3333 0.6667 0.5888 (multiplicity 2)
As 0.3333 0.6667 0.1602 (multiplicity 2)
Pd 0.0000 0.5000 0.0000 (multiplicity 3)
Pd 0.1610 0.3219 0.3095 (multiplicity 6)
Pt 0.0000 0.0000 0.5000 (multiplicity 1)

Largest 10 diffraction maxima, in order of falling intensity, 5° ≤ 2θ ≤ 70°:
hkl 2 0 2, d 2.316, I = 1000; hkl 0 2 1, d 2.475, I = 817; hkl 0 0 3, d 3.776, I = 554; hkl 2 2 0, d 1.465, I = 339; hkl 0 2 4, d 1.890, I = 310; hkl 1 1 2, d 2.603, I = 285; hkl 1 1 0, d 2.931, I = 264; hkl 1 0 3, d 3.028, I = 249; hkl 1 2 4, d 1.588, I = 159; hkl 0 0 2, d 5.659, I = 132



(2)
Computed PXRD pattern of Ac2AsPdPt6 for a wavelength of 1.5418 Å, from a PBE-relaxed structure.

Lattice parameters (Å, degrees): 12.1134 5.5145 8.7148 90.00 131.81 90.00
Space group C2/m (No. 12)
One atom of each set of equivalent atoms:
Ac 0.2294 0.0000 0.1916 (multiplicity 4)
As 0.0000 0.0000 0.5000 (multiplicity 2)
Pd 0.0000 0.5000 0.0000 (multiplicity 2)
Pt 0.0044 0.2565 0.2705 (multiplicity 8)
Pt 0.2487 0.5000 0.3949 (multiplicity 4)

Largest 10 diffraction maxima, in order of falling intensity, 5° ≤ 2θ ≤ 70°:
hkl 2 2 0, d 2.353, I = 1000; hkl 0 0 2, d 3.251, I = 857; hkl 2 2 -2, d 2.328, I = 757; hkl 4 0 0, d 2.257, I = 678; hkl 5 1 -3, d 2.173, I = 508; hkl 4 0 -2, d 3.026, I = 411; hkl 1 1 -3, d 2.293, I = 307; hkl 3 1 -2, d 3.136, I = 304; hkl 6 2 -2, d 1.591, I = 267; hkl 1 1 2, d 2.322, I = 251



(3)
Computed PXRD pattern of RbAcAs2Pd2 for a wavelength of 1.5418 Å, from a PBE-relaxed structure.

Lattice parameters (Å, degrees): 4.3528 4.3528 9.8548 90.00 90.00 120.00
Space group P-3m1 (No. 164)
One atom of each set of equivalent atoms:
Rb 0.0000 0.0000 0.0000 (multiplicity 1)
Ac 0.0000 0.0000 0.5000 (multiplicity 1)
As 0.3333 0.6667 0.7185 (multiplicity 2)
Pd 0.3333 0.6667 0.2733 (multiplicity 2)

Largest 10 diffraction maxima, in order of falling intensity, 5° ≤ 2θ ≤ 70°:
hkl 1 0 2, d 2.994, I = 1000; hkl 0 0 1, d 9.855, I = 405; hkl 1 1 0, d 2.176, I = 404; hkl 1 1 4, d 1.631, I = 253; hkl 0 2 2, d 1.760, I = 213; hkl 2 1 2, d 1.369, I = 185; hkl 0 0 4, d 2.464, I = 149; hkl 0 1 3, d 2.477, I = 137; hkl 1 0 6, d 1.506, I = 91; hkl 1 0 1, d 3.521, I = 84



(4)
Computed PXRD pattern of Ac3SbAs2Pd9 for a wavelength of 1.5418 Å, from a PBE-relaxed structure.

Lattice parameters (Å, degrees): 6.9679 6.9679 8.2825 90.00 90.00 120.00
Space group P-3m1 (No. 164)
One atom of each set of equivalent atoms:
Ac 0.0000 0.0000 0.0000 (multiplicity 1)
Ac 0.3333 0.6667 0.6931 (multiplicity 2)
Sb 0.0000 0.0000 0.5000 (multiplicity 1)
As 0.3333 0.6667 0.1585 (multiplicity 2)
Pd 0.0000 0.5000 0.0000 (multiplicity 3)
Pd 0.1946 0.3892 0.3750 (multiplicity 6)

Largest 10 diffraction maxima, in order of falling intensity, 5° ≤ 2θ ≤ 70°:
hkl 2 0 2, d 2.439, I = 1000; hkl 0 2 1, d 2.835, I = 809; hkl 1 1 0, d 3.484, I = 384; hkl 2 2 0, d 1.742, I = 347; hkl 0 1 2, d 3.415, I = 319; hkl 0 2 4, d 1.707, I = 270; hkl 1 2 2, d 1.998, I = 230; hkl 0 0 3, d 2.761, I = 197; hkl 0 4 2, d 1.417, I = 155; hkl 1 0 4, d 1.958, I = 140



(5)
Computed PXRD pattern of SrAcAs2Pd2 for a wavelength of 1.5418 Å, from a PBE-relaxed structure.

Lattice parameters (Å, degrees): 4.4114 4.4114 8.6615 90.00 90.00 120.00
Space group P-3m1 (No. 164)
One atom of each set of equivalent atoms:
Sr 0.0000 0.0000 0.0000 (multiplicity 1)
Ac 0.0000 0.0000 0.5000 (multiplicity 1)
As 0.3333 0.6667 0.7462 (multiplicity 2)
Pd 0.3333 0.6667 0.2507 (multiplicity 2)

Largest 10 diffraction maxima, in order of falling intensity, 5° ≤ 2θ ≤ 70°:
hkl 0 1 2, d 2.865, I = 1000; hkl 1 1 0, d 2.206, I = 453; hkl 1 1 4, d 1.545, I = 294; hkl 2 0 2, d 1.748, I = 234; hkl 1 2 2, d 1.370, I = 210; hkl 0 0 1, d 8.662, I = 154; hkl 0 0 4, d 2.165, I = 143; hkl 1 0 1, d 3.496, I = 131; hkl 0 1 6, d 1.350, I = 100; hkl 1 0 0, d 3.820, I = 61



(6)
Computed PXRD pattern of SrAcAs2Pd5 for a wavelength of 1.5418 Å, from a PBE-relaxed structure.

Lattice parameters (Å, degrees): 4.6852 4.6852 8.5615 90.00 90.00 90.00
Space group P4/mmm (No. 123)
One atom of each set of equivalent atoms:
Sr 0.0000 0.0000 0.0000 (multiplicity 1)
Ac 0.0000 0.0000 0.5000 (multiplicity 1)
As 0.5000 0.5000 0.3219 (multiplicity 2)
Pd 0.0000 0.5000 0.2302 (multiplicity 4)
Pd 0.5000 0.5000 0.0000 (multiplicity 1)

Largest 10 diffraction maxima, in order of falling intensity, 5° ≤ 2θ ≤ 70°:
hkl 1 1 2, d 2.620, I = 1000; hkl 2 0 0, d 2.343, I = 669; hkl 3 1 2, d 1.400, I = 283; hkl 1 0 2, d 3.160, I = 262; hkl 2 2 0, d 1.656, I = 228; hkl 1 0 3, d 2.437, I = 228; hkl 2 0 4, d 1.580, I = 225; hkl 1 0 1, d 4.110, I = 169; hkl 2 1 3, d 1.689, I = 151; hkl 0 0 4, d 2.140, I = 147



(7)
Computed PXRD pattern of AcPm4As5 for a wavelength of 1.5418 Å, from a PBE-relaxed structure.

Lattice parameters (Å, degrees): 4.3012 6.0957 21.5325 90.00 90.00 90.00
Space group Immm (No. 71)
One atom of each set of equivalent atoms:
Ac 0.0000 0.0000 0.0000 (multiplicity 2)
Pm 0.0000 0.0000 0.2026 (multiplicity 4)
Pm 0.0000 0.0000 0.3981 (multiplicity 4)
As 0.0000 0.5000 0.0000 (multiplicity 2)
As 0.0000 0.5000 0.1995 (multiplicity 4)
As 0.0000 0.5000 0.3938 (multiplicity 4)

Largest 10 diffraction maxima, in order of falling intensity, 5° ≤ 2θ ≤ 70°:
hkl 0 2 0, d 3.045, I = 1000; hkl 2 0 0, d 2.153, I = 754; hkl 1 4 5, d 1.362, I = 283; hkl 2 2 0, d 1.758, I = 267; hkl 0 1 5, d 3.516, I = 236; hkl 1 1 10, d 1.836, I = 121; hkl 2 0 10, d 1.522, I = 82; hkl 3 0 5, d 1.360, I = 58; hkl 0 4 0, d 1.524, I = 42; hkl 0 1 15, d 1.397, I = 42



(8)
Computed PXRD pattern of AcPr4As5 for a wavelength of 1.5418 Å, from a PBE-relaxed structure.

Lattice parameters (Å, degrees): 4.3589 6.1667 21.7975 90.00 90.00 90.00
Space group Immm (No. 71)
One atom of each set of equivalent atoms:
Ac 0.0000 0.0000 0.0000 (multiplicity 2)
Pr 0.0000 0.0000 0.2019 (multiplicity 4)
Pr 0.0000 0.0000 0.3985 (multiplicity 4)
As 0.0000 0.5000 0.0000 (multiplicity 2)
As 0.0000 0.5000 0.1996 (multiplicity 4)
As 0.0000 0.5000 0.3954 (multiplicity 4)

Largest 10 diffraction maxima, in order of falling intensity, 5° ≤ 2θ ≤ 70°:
hkl 0 2 0, d 3.083, I = 1000; hkl 2 0 0, d 2.180, I = 758; hkl 3 0 5, d 1.379, I = 345; hkl 2 2 0, d 1.780, I = 270; hkl 0 1 5, d 3.560, I = 220; hkl 0 4 0, d 1.541, I = 126; hkl 1 1 10, d 1.859, I = 113; hkl 0 1 15, d 1.414, I = 47; hkl 0 0 2, d 10.899, I = 13; hkl 0 1 1, d 5.934, I = 11



Number 7 is which compound?
AcPm4As5



Repeat the second record exactly.
Computed PXRD pattern of Ac2AsPdPt6 for a wavelength of 1.5418 Å, from a PBE-relaxed structure.

Lattice parameters (Å, degrees): 12.1134 5.5145 8.7148 90.00 131.81 90.00
Space group C2/m (No. 12)
One atom of each set of equivalent atoms:
Ac 0.2294 0.0000 0.1916 (multiplicity 4)
As 0.0000 0.0000 0.5000 (multiplicity 2)
Pd 0.0000 0.5000 0.0000 (multiplicity 2)
Pt 0.0044 0.2565 0.2705 (multiplicity 8)
Pt 0.2487 0.5000 0.3949 (multiplicity 4)

Largest 10 diffraction maxima, in order of falling intensity, 5° ≤ 2θ ≤ 70°:
hkl 2 2 0, d 2.353, I = 1000; hkl 0 0 2, d 3.251, I = 857; hkl 2 2 -2, d 2.328, I = 757; hkl 4 0 0, d 2.257, I = 678; hkl 5 1 -3, d 2.173, I = 508; hkl 4 0 -2, d 3.026, I = 411; hkl 1 1 -3, d 2.293, I = 307; hkl 3 1 -2, d 3.136, I = 304; hkl 6 2 -2, d 1.591, I = 267; hkl 1 1 2, d 2.322, I = 251



Repeat the first record exactly.
Computed PXRD pattern of Ac3As2Pd9Pt for a wavelength of 1.5418 Å, from a PBE-relaxed structure.

Lattice parameters (Å, degrees): 5.8626 5.8626 11.3181 90.00 90.00 120.00
Space group P-3m1 (No. 164)
One atom of each set of equivalent atoms:
Ac 0.0000 0.0000 0.0000 (multiplicity 1)
Ac 0.3333 0.6667 0.5888 (multiplicity 2)
As 0.3333 0.6667 0.1602 (multiplicity 2)
Pd 0.0000 0.5000 0.0000 (multiplicity 3)
Pd 0.1610 0.3219 0.3095 (multiplicity 6)
Pt 0.0000 0.0000 0.5000 (multiplicity 1)

Largest 10 diffraction maxima, in order of falling intensity, 5° ≤ 2θ ≤ 70°:
hkl 2 0 2, d 2.316, I = 1000; hkl 0 2 1, d 2.475, I = 817; hkl 0 0 3, d 3.776, I = 554; hkl 2 2 0, d 1.465, I = 339; hkl 0 2 4, d 1.890, I = 310; hkl 1 1 2, d 2.603, I = 285; hkl 1 1 0, d 2.931, I = 264; hkl 1 0 3, d 3.028, I = 249; hkl 1 2 4, d 1.588, I = 159; hkl 0 0 2, d 5.659, I = 132